Entry 1:
For Hf2Co2SbAs, a structure optimized by DFT (GGA-PBE) gives the simulated PXRD pattern in this record (Cu Kα (λ = 1.5418 Å)).

Atomic structure:
```
data_Hf2Co2SbAs
_cell_length_a 10.5636
_cell_length_b 4.0435
_cell_length_c 11.3299
_cell_angle_alpha 90.00
_cell_angle_beta 113.51
_cell_angle_gamma 90.00
_space_group_name_H-M_alt 'P 1 m 1'
_space_group_IT_number 6
_space_group_name_Hall 'P -2y'
loop_
_atom_site_label
_atom_site_type_symbol
_atom_site_fract_x
_atom_site_fract_y
_atom_site_fract_z
Hf1 Hf 0.0000 0.0000 0.0000
Hf2 Hf 0.0009 0.5000 0.3878
Hf3 Hf 0.2829 0.5000 0.9508
Hf4 Hf 0.3904 0.5000 0.4559
Hf5 Hf 0.4526 0.0000 0.6829
Hf6 Hf 0.6364 0.0000 0.2441
Hf7 Hf 0.6642 0.0000 0.5561
Hf8 Hf 0.7115 0.5000 0.9570
Co1 Co 0.1595 0.0000 0.4975
Co2 Co 0.1839 0.5000 0.1389
Co3 Co 0.2651 0.0000 0.7932
Co4 Co 0.4575 0.0000 0.3468
Co5 Co 0.5598 0.5000 0.0953
Co6 Co 0.5912 0.5000 0.6678
Co7 Co 0.7089 0.0000 0.8191
Co8 Co 0.9037 0.5000 0.5990
Sb1 Sb 0.0242 0.0000 0.7566
Sb2 Sb 0.1934 0.0000 0.2926
Sb3 Sb 0.2259 0.5000 0.6483
Sb4 Sb 0.5058 0.0000 0.9571
As1 As 0.4390 0.5000 0.2275
As2 As 0.8293 0.5000 0.7808
As3 As 0.8743 0.0000 0.4629
As4 As 0.9538 0.5000 0.1411
```

Top 10 peaks for 15° ≤ 2θ ≤ 90°, low angle first:
- 2θ = 27.81°, intensity 90.5
- 2θ = 28.76°, intensity 33.9
- 2θ = 32.14°, intensity 63.0
- 2θ = 34.52°, intensity 33.4
- 2θ = 35.78°, intensity 36.2
- 2θ = 39.11°, intensity 100.0
- 2θ = 41.30°, intensity 67.4
- 2θ = 41.39°, intensity 62.3
- 2θ = 43.87°, intensity 47.3
- 2θ = 44.83°, intensity 92.4



Entry 2:
For HfZnCoAs, a structure optimized by DFT (GGA-PBE) gives the simulated PXRD pattern in this record (Cu Kα (λ = 1.5418 Å)).

Atomic structure:
```
data_HfZnCoAs
_cell_length_a 6.2906
_cell_length_b 6.2906
_cell_length_c 6.2906
_cell_angle_alpha 90.00
_cell_angle_beta 90.00
_cell_angle_gamma 90.00
_space_group_name_H-M_alt 'F -4 3 m'
_space_group_IT_number 216
_space_group_name_Hall 'F -4 2 3'
loop_
_atom_site_label
_atom_site_type_symbol
_atom_site_fract_x
_atom_site_fract_y
_atom_site_fract_z
Hf1 Hf 0.0000 0.0000 0.0000
Zn1 Zn 0.2500 0.2500 0.2500
Co1 Co 0.2500 0.2500 0.7500
As1 As 0.0000 0.0000 0.5000
```

Top 10 peaks for 15° ≤ 2θ ≤ 90°, low angle first:
- 2θ = 24.51°, intensity 15.9
- 2θ = 28.38°, intensity 12.2
- 2θ = 40.56°, intensity 100.0
- 2θ = 47.97°, intensity 8.3
- 2θ = 50.24°, intensity 3.6
- 2θ = 58.71°, intensity 16.5
- 2θ = 64.58°, intensity 3.5
- 2θ = 66.47°, intensity 5.0
- 2θ = 73.79°, intensity 33.0
- 2θ = 87.78°, intensity 10.7



Entry 3:
For Hf3Zr3CoAs2, a structure optimized by DFT (GGA-PBE) gives the simulated PXRD pattern in this record (Cu Kα (λ = 1.5418 Å)).

Atomic structure:
```
data_Hf3Zr3CoAs2
_cell_length_a 7.5001
_cell_length_b 7.5001
_cell_length_c 3.5381
_cell_angle_alpha 90.00
_cell_angle_beta 90.00
_cell_angle_gamma 120.00
_space_group_name_H-M_alt 'P -6 2 m'
_space_group_IT_number 189
_space_group_name_Hall 'P -6 -2'
loop_
_atom_site_label
_atom_site_type_symbol
_atom_site_fract_x
_atom_site_fract_y
_atom_site_fract_z
Hf1 Hf 0.0000 0.7552 0.0000
Zr1 Zr 0.0000 0.4123 0.5000
Co1 Co 0.0000 0.0000 0.5000
As1 As 0.3333 0.6667 0.0000
```

Top 10 peaks for 15° ≤ 2θ ≤ 90°, low angle first:
- 2θ = 25.17°, intensity 15.9
- 2θ = 34.86°, intensity 100.0
- 2θ = 36.60°, intensity 94.1
- 2θ = 37.59°, intensity 72.1
- 2θ = 41.72°, intensity 24.1
- 2θ = 44.94°, intensity 52.0
- 2θ = 51.67°, intensity 20.7
- 2θ = 64.98°, intensity 35.4
- 2θ = 68.30°, intensity 33.0
- 2θ = 88.16°, intensity 16.2



Entry 4:
For HfZr2Co4As4, a structure optimized by DFT (GGA-PBE) gives the simulated PXRD pattern in this record (Cu Kα (λ = 1.5418 Å)).

Atomic structure:
```
data_HfZr2Co4As4
_cell_length_a 6.3714
_cell_length_b 3.8523
_cell_length_c 7.1687
_cell_angle_alpha 90.00
_cell_angle_beta 91.26
_cell_angle_gamma 90.00
_space_group_name_H-M_alt 'P 1 m 1'
_space_group_IT_number 6
_space_group_name_Hall 'P -2y'
loop_
_atom_site_label
_atom_site_type_symbol
_atom_site_fract_x
_atom_site_fract_y
_atom_site_fract_z
Hf1 Hf 0.0000 0.0000 0.0000
Zr1 Zr 0.4879 0.0000 0.8572
Zr2 Zr 0.5286 0.5000 0.4800
Co1 Co 0.1725 0.5000 0.7360
Co2 Co 0.3937 0.0000 0.2312
Co3 Co 0.6690 0.5000 0.1118
Co4 Co 0.8686 0.0000 0.6224
As1 As 0.2191 0.0000 0.5355
As2 As 0.2829 0.5000 0.0811
As3 As 0.7679 0.0000 0.3020
As4 As 0.7936 0.5000 0.7915
```

Top 10 peaks for 15° ≤ 2θ ≤ 90°, low angle first:
- 2θ = 27.05°, intensity 27.1
- 2θ = 36.61°, intensity 33.9
- 2θ = 36.84°, intensity 50.5
- 2θ = 37.29°, intensity 100.0
- 2θ = 38.57°, intensity 81.9
- 2θ = 38.99°, intensity 95.9
- 2θ = 44.63°, intensity 66.5
- 2θ = 46.70°, intensity 27.6
- 2θ = 47.20°, intensity 87.9
- 2θ = 50.45°, intensity 25.2



Entry 5:
For InCo3As5, a structure optimized by DFT (GGA-PBE) gives the simulated PXRD pattern in this record (Cu Kα (λ = 1.5418 Å)).

Atomic structure:
```
data_InCo3As5
_cell_length_a 4.9903
_cell_length_b 4.9903
_cell_length_c 7.4423
_cell_angle_alpha 90.00
_cell_angle_beta 90.00
_cell_angle_gamma 120.00
_space_group_name_H-M_alt 'P 6/m m m'
_space_group_IT_number 191
_space_group_name_Hall '-P 6 2'
loop_
_atom_site_label
_atom_site_type_symbol
_atom_site_fract_x
_atom_site_fract_y
_atom_site_fract_z
In1 In 0.0000 0.0000 0.0000
Co1 Co 0.0000 0.5000 0.5000
As1 As 0.0000 0.0000 0.5000
As2 As 0.3333 0.6667 0.2381
```

Top 10 peaks for 15° ≤ 2θ ≤ 90°, low angle first:
- 2θ = 23.81°, intensity 20.5
- 2θ = 31.73°, intensity 97.7
- 2θ = 35.99°, intensity 83.3
- 2θ = 43.65°, intensity 27.0
- 2θ = 48.73°, intensity 100.0
- 2θ = 48.96°, intensity 26.5
- 2θ = 62.05°, intensity 28.0
- 2θ = 62.24°, intensity 31.1
- 2θ = 64.71°, intensity 14.7
- 2θ = 76.33°, intensity 21.2



Entry 6:
For SrCoAs2Ir, a structure optimized by DFT (GGA-PBE) gives the simulated PXRD pattern in this record (Cu Kα (λ = 1.5418 Å)).

Atomic structure:
```
data_SrCoAs2Ir
_cell_length_a 3.9694
_cell_length_b 3.9694
_cell_length_c 12.2567
_cell_angle_alpha 90.00
_cell_angle_beta 90.00
_cell_angle_gamma 90.00
_space_group_name_H-M_alt 'I -4 m 2'
_space_group_IT_number 119
_space_group_name_Hall 'I -4 -2'
loop_
_atom_site_label
_atom_site_type_symbol
_atom_site_fract_x
_atom_site_fract_y
_atom_site_fract_z
Sr1 Sr 0.0000 0.0000 0.0000
Co1 Co 0.0000 0.5000 0.2500
As1 As 0.0000 0.0000 0.3634
Ir1 Ir 0.0000 0.5000 0.7500
```

Top 10 peaks for 15° ≤ 2θ ≤ 90°, low angle first:
- 2θ = 23.56°, intensity 43.4
- 2θ = 31.42°, intensity 86.0
- 2θ = 35.17°, intensity 100.0
- 2θ = 43.38°, intensity 21.8
- 2θ = 43.74°, intensity 52.3
- 2θ = 45.71°, intensity 57.8
- 2θ = 55.65°, intensity 43.1
- 2θ = 56.52°, intensity 32.6
- 2θ = 77.64°, intensity 19.8
- 2θ = 78.94°, intensity 20.7



What did the sixth record say?
For SrCoAs2Ir, a structure optimized by DFT (GGA-PBE) gives the simulated PXRD pattern in this record (Cu Kα (λ = 1.5418 Å)).

Atomic structure:
```
data_SrCoAs2Ir
_cell_length_a 3.9694
_cell_length_b 3.9694
_cell_length_c 12.2567
_cell_angle_alpha 90.00
_cell_angle_beta 90.00
_cell_angle_gamma 90.00
_space_group_name_H-M_alt 'I -4 m 2'
_space_group_IT_number 119
_space_group_name_Hall 'I -4 -2'
loop_
_atom_site_label
_atom_site_type_symbol
_atom_site_fract_x
_atom_site_fract_y
_atom_site_fract_z
Sr1 Sr 0.0000 0.0000 0.0000
Co1 Co 0.0000 0.5000 0.2500
As1 As 0.0000 0.0000 0.3634
Ir1 Ir 0.0000 0.5000 0.7500
```

Top 10 peaks for 15° ≤ 2θ ≤ 90°, low angle first:
- 2θ = 23.56°, intensity 43.4
- 2θ = 31.42°, intensity 86.0
- 2θ = 35.17°, intensity 100.0
- 2θ = 43.38°, intensity 21.8
- 2θ = 43.74°, intensity 52.3
- 2θ = 45.71°, intensity 57.8
- 2θ = 55.65°, intensity 43.1
- 2θ = 56.52°, intensity 32.6
- 2θ = 77.64°, intensity 19.8
- 2θ = 78.94°, intensity 20.7



- Number 4 is which compound?
  HfZr2Co4As4